The following is a calculated X-ray powder pattern of Cu7Bi2. It was derived from DFT lattice parameters and positions (GGA-PBE), using λ = 1.5418 Å (Cu Kα).
Kinematic intensities with the Lorentz-polarization factor, no thermal factor.

Top 10 peaks for 2θ from 5° to 70°, sorted by position:
| h k l | 2theta | I_rel |
| --- | --- | --- |
| 0 0 2 | 6.54 | 100 |
| 0 0 4 | 13.10 | 15 |
| 1 0 1 | 33.93 | 14 |
| 1 0 3 | 35.24 | 12 |
| 0 1 4 | 36.36 | 14 |
| 1 0 5 | 37.75 | 39 |
| 0 1 6 | 39.39 | 9 |
| 0 1 8 | 43.34 | 8 |
| 0 1 10 | 48.03 | 19 |
| 1 1 0 | 60.39 | 10 |

Atomic structure:
Cell: 3.066 3.066 27.033 Å, 90.00 90.00 120.00°
Fractional positions:
Cu1 0.000 0.000 0.000
Cu2 0.000 0.000 0.193
Cu3 0.000 0.000 0.807
Cu4 0.333 0.667 0.128
Cu5 0.333 0.667 0.936
Cu6 0.667 0.333 0.064
Cu7 0.667 0.333 0.872
Bi1 0.333 0.667 0.723
Bi2 0.667 0.333 0.277